The following is a theoretical X-ray diffraction stick pattern of Tb4H9. It was derived from a crystal structure in OQMD, relaxed with PBE, using copper Kα.

Most intense lines, 10 to 90 degrees two-theta, sorted by position:
29.86 deg, I 100; 34.62 deg, I 49; 49.77 deg, I 38; 59.13 deg, I 44; 80.85 deg, I 18; 83.41 deg, I 16

Structural model:
```
data_Tb4H9
_chemical_formula_sum 'Tb4 H9'
_cell_length_a 6.3493
_cell_length_b 6.3493
_cell_length_c 6.3493
_cell_angle_alpha 131.85
_cell_angle_beta 131.85
_cell_angle_gamma 70.47
_symmetry_space_group_name_H-M 'P 1'
_symmetry_Int_Tables_number 1
_symmetry_space_group_name_Hall 'P 1'
loop_
_atom_site_label
_atom_site_type_symbol
_atom_site_fract_x
_atom_site_fract_y
_atom_site_fract_z
Tb1 Tb 0.0000 0.5000 0.5000
Tb2 Tb 0.2466 0.2466 0.0000
Tb3 Tb 0.5000 0.0000 0.5000
Tb4 Tb 0.7534 0.7534 0.0000
H1 H 0.0000 0.0000 0.0000
H2 H 0.1314 0.1314 0.5162
H3 H 0.1314 0.6152 0.0000
H4 H 0.3848 0.3848 0.5162
H5 H 0.3848 0.8686 0.0000
H6 H 0.6152 0.1314 0.0000
H7 H 0.6152 0.6152 0.4838
H8 H 0.8686 0.3848 0.0000
H9 H 0.8686 0.8686 0.4838
```